1.
This entry pairs a crystal structure of Mg3MnNi3O8 with its computed powder diffraction line list. Radiation: Cu Kα (λ = 1.5418 Å). Structure: the PBE+U geometry in the Materials Project.
Intensities are scaled so that the largest is 100.

Peak list (10 most intense, 15° ≤ 2θ ≤ 90°, low angle first)
2θ = 18.15°, intensity 56; 2θ = 35.22°, intensity 15; 2θ = 35.43°, intensity 7; 2θ = 36.77°, intensity 31; 2θ = 37.17°, intensity 10; 2θ = 42.84°, intensity 100; 2θ = 61.92°, intensity 28; 2θ = 62.46°, intensity 27; 2θ = 74.48°, intensity 9; 2θ = 78.22°, intensity 13

Atomic structure:
Lattice parameters (Å, degrees): 5.9483 5.9483 5.9483 60.52 60.52 60.52
Fractional positions:
Mg 0.0000 0.5000 0.5000
Mg 0.5000 0.0000 0.5000
Mg 0.5000 0.5000 0.0000
Mn 0.0000 0.0000 0.0000
Ni 0.0000 0.0000 0.5000
Ni 0.0000 0.5000 0.0000
Ni 0.5000 0.0000 0.0000
O 0.2295 0.2295 0.7697
O 0.2295 0.7697 0.2295
O 0.2303 0.7705 0.7705
O 0.2511 0.2511 0.2511
O 0.7489 0.7489 0.7489
O 0.7697 0.2295 0.2295
O 0.7705 0.2303 0.7705
O 0.7705 0.7705 0.2303

***

2.
This entry pairs a crystal structure of MgMn4Ni2O8 with its computed powder diffraction line list. Radiation: Cu Kα (λ = 1.5418 Å). Structure: the PBE+U geometry in the Materials Project.
Intensities are scaled so that the largest is 100.

Peak list (10 most intense, 15° ≤ 2θ ≤ 90°, low angle first)
2θ = 30.04°, intensity 46; 2θ = 33.34°, intensity 61; 2θ = 33.76°, intensity 64; 2θ = 33.95°, intensity 64; 2θ = 34.69°, intensity 59; 2θ = 35.15°, intensity 66; 2θ = 40.69°, intensity 100; 2θ = 42.83°, intensity 41; 2θ = 58.62°, intensity 43; 2θ = 62.44°, intensity 62

Atomic structure:
Lattice parameters (Å, degrees): 5.9567 5.9567 6.5266 119.22 119.22 61.19
Fractional positions:
Mg 0.0000 0.0000 0.0000
Mn 0.0000 0.5000 0.0000
Mn 0.1523 0.1523 0.4684
Mn 0.5000 0.0000 0.0000
Mn 0.8477 0.8477 0.5316
Ni 0.5000 0.5000 0.0000
Ni 0.5000 0.5000 0.5000
O 0.2370 0.7371 0.2270
O 0.2488 0.2488 0.2596
O 0.2629 0.7630 0.7730
O 0.2669 0.2669 0.8323
O 0.7331 0.7331 0.1677
O 0.7371 0.2370 0.2270
O 0.7512 0.7512 0.7404
O 0.7630 0.2629 0.7730

***

3.
This entry pairs a crystal structure of MgMn3NiO8 with its computed powder diffraction line list. Radiation: Cu Kα (λ = 1.5418 Å). Structure: the PBE+U geometry in the Materials Project.
Intensities are scaled so that the largest is 100.

Peak list (10 most intense, 15° ≤ 2θ ≤ 90°, low angle first)
2θ = 18.13°, intensity 100; 2θ = 18.30°, intensity 67; 2θ = 18.88°, intensity 26; 2θ = 35.85°, intensity 13; 2θ = 36.70°, intensity 22; 2θ = 37.09°, intensity 18; 2θ = 41.37°, intensity 45; 2θ = 43.63°, intensity 42; 2θ = 44.97°, intensity 38; 2θ = 63.87°, intensity 22

Atomic structure:
Lattice parameters (Å, degrees): 5.7454 5.8318 5.8522 118.92 116.35 91.65
Fractional positions:
Mg 0.0000 0.0000 0.0000
Mn 0.0000 0.0000 0.5000
Mn 0.0000 0.5000 0.5000
Mn 0.5000 0.5000 0.0000
Ni 0.0000 0.5000 0.0000
O 0.1953 0.7248 0.4398
O 0.2040 0.2414 0.4703
O 0.2198 0.7010 0.9450
O 0.2310 0.2304 0.9394
O 0.7690 0.7696 0.0606
O 0.7802 0.2990 0.0550
O 0.7960 0.7586 0.5297
O 0.8047 0.2752 0.5602

***

4.
This entry pairs a crystal structure of MgMn2Ni2O6 with its computed powder diffraction line list. Radiation: Cu Kα (λ = 1.5418 Å). Structure: the PBE+U geometry in the Materials Project.
Intensities are scaled so that the largest is 100.

Peak list (10 most intense, 15° ≤ 2θ ≤ 90°, low angle first)
2θ = 23.25°, intensity 34; 2θ = 31.19°, intensity 44; 2θ = 34.95°, intensity 100; 2θ = 36.10°, intensity 25; 2θ = 39.45°, intensity 23; 2θ = 47.54°, intensity 16; 2θ = 50.97°, intensity 93; 2θ = 60.35°, intensity 13; 2θ = 62.68°, intensity 40; 2θ = 84.92°, intensity 17

Atomic structure:
Lattice parameters (Å, degrees): 5.8153 5.8153 5.8153 52.39 52.39 52.39
Fractional positions:
Mg 0.0000 0.0000 0.0000
Mn 0.1729 0.1729 0.1729
Mn 0.8271 0.8271 0.8271
Ni 0.3557 0.3557 0.3557
Ni 0.6443 0.6443 0.6443
O 0.0556 0.7721 0.4159
O 0.2279 0.5841 0.9444
O 0.4159 0.0556 0.7721
O 0.5841 0.9444 0.2279
O 0.7721 0.4159 0.0556
O 0.9444 0.2279 0.5841

***

5.
This entry pairs a crystal structure of MgMn4Ni2O8 with its computed powder diffraction line list. Radiation: Cu Kα (λ = 1.5418 Å). Structure: the PBE+U geometry in the Materials Project.
Intensities are scaled so that the largest is 100.

Peak list (10 most intense, 15° ≤ 2θ ≤ 90°, low angle first)
2θ = 16.98°, intensity 15; 2θ = 27.90°, intensity 74; 2θ = 32.85°, intensity 100; 2θ = 39.87°, intensity 15; 2θ = 43.63°, intensity 9; 2θ = 49.37°, intensity 31; 2θ = 52.59°, intensity 50; 2θ = 57.66°, intensity 62; 2θ = 79.27°, intensity 18; 2θ = 81.81°, intensity 18

Atomic structure:
Lattice parameters (Å, degrees): 6.3947 6.3947 6.3947 60.00 60.00 60.00
Fractional positions:
Mg 0.0000 0.0000 0.0000
Mn 0.1429 0.1429 0.1429
Mn 0.1429 0.1429 0.5713
Mn 0.1429 0.5713 0.1429
Mn 0.5713 0.1429 0.1429
Ni 0.5000 0.5000 0.5000
Ni 0.7500 0.7500 0.7500
O 0.3676 0.8775 0.8775
O 0.3737 0.3737 0.3737
O 0.3737 0.3737 0.8790
O 0.3737 0.8790 0.3737
O 0.8775 0.3676 0.8775
O 0.8775 0.8775 0.3676
O 0.8775 0.8775 0.8775
O 0.8790 0.3737 0.3737

***

6.
This entry pairs a crystal structure of MgMn2Ni2O6 with its computed powder diffraction line list. Radiation: Cu Kα (λ = 1.5418 Å). Structure: the PBE+U geometry in the Materials Project.
Intensities are scaled so that the largest is 100.

Peak list (10 most intense, 15° ≤ 2θ ≤ 90°, low angle first)
2θ = 23.21°, intensity 36; 2θ = 31.29°, intensity 33; 2θ = 34.73°, intensity 89; 2θ = 36.27°, intensity 30; 2θ = 39.34°, intensity 17; 2θ = 47.43°, intensity 15; 2θ = 51.08°, intensity 100; 2θ = 60.12°, intensity 11; 2θ = 62.26°, intensity 36; 2θ = 84.63°, intensity 20

Atomic structure:
Lattice parameters (Å, degrees): 5.7841 5.7841 5.7841 53.04 53.04 53.04
Fractional positions:
Mg 0.0000 0.0000 0.0000
Mn 0.3533 0.3533 0.3533
Mn 0.6467 0.6467 0.6467
Ni 0.1707 0.1707 0.1707
Ni 0.8293 0.8293 0.8293
O 0.0508 0.7633 0.4205
O 0.2367 0.5795 0.9492
O 0.4205 0.0508 0.7633
O 0.5795 0.9492 0.2367
O 0.7633 0.4205 0.0508
O 0.9492 0.2367 0.5795

***

7.
This entry pairs a crystal structure of Mg6MnNiO8 with its computed powder diffraction line list. Radiation: Cu Kα (λ = 1.5418 Å). Structure: the PBE+U geometry in the Materials Project.
Intensities are scaled so that the largest is 100.

Peak list (10 most intense, 15° ≤ 2θ ≤ 90°, low angle first)
2θ = 20.75°, intensity 10; 2θ = 31.28°, intensity 18; 2θ = 36.28°, intensity 39; 2θ = 42.09°, intensity 100; 2θ = 42.23°, intensity 49; 2θ = 43.49°, intensity 11; 2θ = 61.04°, intensity 28; 2θ = 61.15°, intensity 56; 2θ = 73.12°, intensity 13; 2θ = 77.02°, intensity 26

Atomic structure:
Lattice parameters (Å, degrees): 4.2938 4.2938 8.5601 90.00 90.00 90.00
Fractional positions:
Mg 0.0000 0.0000 0.0000
Mg 0.0000 0.5000 0.2493
Mg 0.0000 0.5000 0.7507
Mg 0.5000 0.0000 0.2493
Mg 0.5000 0.0000 0.7507
Mg 0.5000 0.5000 0.0000
Mn 0.0000 0.0000 0.5000
Ni 0.5000 0.5000 0.5000
O 0.0000 0.0000 0.2421
O 0.0000 0.0000 0.7579
O 0.0000 0.5000 0.0000
O 0.0000 0.5000 0.5000
O 0.5000 0.0000 0.0000
O 0.5000 0.0000 0.5000
O 0.5000 0.5000 0.2510
O 0.5000 0.5000 0.7490

***

8.
This entry pairs a crystal structure of MgMn4Ni2O8 with its computed powder diffraction line list. Radiation: Cu Kα (λ = 1.5418 Å). Structure: the PBE+U geometry in the Materials Project.
Intensities are scaled so that the largest is 100.

Peak list (10 most intense, 15° ≤ 2θ ≤ 90°, low angle first)
2θ = 29.94°, intensity 45; 2θ = 33.16°, intensity 46; 2θ = 33.53°, intensity 43; 2θ = 34.37°, intensity 55; 2θ = 35.03°, intensity 100; 2θ = 40.89°, intensity 64; 2θ = 42.51°, intensity 44; 2θ = 52.29°, intensity 40; 2θ = 58.72°, intensity 28; 2θ = 62.15°, intensity 41

Atomic structure:
Lattice parameters (Å, degrees): 5.9823 5.9823 6.5910 119.77 119.77 59.74
Fractional positions:
Mg 0.0000 0.0000 0.0000
Mn 0.1754 0.1754 0.4672
Mn 0.4998 0.4998 0.0002
Mn 0.4995 0.4995 0.5009
Mn 0.8225 0.8225 0.5329
Ni 0.0000 0.4999 0.0005
Ni 0.4999 0.0000 0.0005
O 0.2477 0.2477 0.2300
O 0.2529 0.7310 0.7750
O 0.2685 0.7465 0.2256
O 0.2742 0.2742 0.8241
O 0.7253 0.7253 0.1764
O 0.7310 0.2529 0.7750
O 0.7465 0.2685 0.2256
O 0.7518 0.7518 0.7711

***

9.
This entry pairs a crystal structure of MgMn4NiO8 with its computed powder diffraction line list. Radiation: Cu Kα (λ = 1.5418 Å). Structure: the PBE+U geometry in the Materials Project.
Intensities are scaled so that the largest is 100.

Peak list (10 most intense, 15° ≤ 2θ ≤ 90°, low angle first)
2θ = 17.76°, intensity 100; 2θ = 18.04°, intensity 39; 2θ = 35.98°, intensity 19; 2θ = 36.51°, intensity 36; 2θ = 36.58°, intensity 17; 2θ = 41.27°, intensity 66; 2θ = 41.98°, intensity 62; 2θ = 43.55°, intensity 56; 2θ = 59.97°, intensity 17; 2θ = 60.68°, intensity 18

Atomic structure:
Lattice parameters (Å, degrees): 5.9445 6.0068 6.0242 118.27 92.01 118.56
Fractional positions:
Mg 0.0000 0.0000 0.0000
Mn 0.0000 0.0000 0.5000
Mn 0.0000 0.5000 0.5000
Mn 0.5000 0.5000 0.0000
Mn 0.5000 0.5000 0.5000
Ni 0.5000 0.0000 0.5000
O 0.2327 0.0016 0.7351
O 0.2581 0.0557 0.3009
O 0.2655 0.4966 0.2643
O 0.2725 0.5034 0.7216
O 0.7275 0.4966 0.2784
O 0.7345 0.5034 0.7357
O 0.7419 0.9443 0.6991
O 0.7673 0.9984 0.2649

***

10.
This entry pairs a crystal structure of Mg6MnNiO8 with its computed powder diffraction line list. Radiation: Cu Kα (λ = 1.5418 Å). Structure: the PBE+U geometry in the Materials Project.
Intensities are scaled so that the largest is 100.

Peak list (10 most intense, 15° ≤ 2θ ≤ 90°, low angle first)
2θ = 20.70°, intensity 20; 2θ = 29.43°, intensity 17; 2θ = 36.26°, intensity 26; 2θ = 42.11°, intensity 100; 2θ = 47.37°, intensity 8; 2θ = 52.21°, intensity 6; 2θ = 61.07°, intensity 57; 2θ = 65.21°, intensity 3; 2θ = 73.14°, intensity 13; 2θ = 76.97°, intensity 17

Atomic structure:
Lattice parameters (Å, degrees): 4.2937 4.2937 8.5741 90.00 90.00 90.00
Fractional positions:
Mg 0.0000 0.0000 0.0000
Mg 0.0000 0.0000 0.5000
Mg 0.0000 0.5000 0.2466
Mg 0.0000 0.5000 0.7534
Mg 0.5000 0.0000 0.2466
Mg 0.5000 0.0000 0.7534
Mn 0.5000 0.5000 0.5000
Ni 0.5000 0.5000 0.0000
O 0.0000 0.0000 0.2502
O 0.0000 0.0000 0.7498
O 0.0000 0.5000 0.0000
O 0.0000 0.5000 0.5000
O 0.5000 0.0000 0.0000
O 0.5000 0.0000 0.5000
O 0.5000 0.5000 0.2422
O 0.5000 0.5000 0.7578

***

11.
This entry pairs a crystal structure of MgMn3NiO8 with its computed powder diffraction line list. Radiation: Cu Kα (λ = 1.5418 Å). Structure: the PBE+U geometry in the Materials Project.
Intensities are scaled so that the largest is 100.

Peak list (10 most intense, 15° ≤ 2θ ≤ 90°, low angle first)
2θ = 18.25°, intensity 67; 2θ = 18.40°, intensity 79; 2θ = 35.64°, intensity 39; 2θ = 37.30°, intensity 19; 2θ = 43.25°, intensity 100; 2θ = 57.05°, intensity 11; 2θ = 62.61°, intensity 25; 2θ = 63.04°, intensity 28; 2θ = 66.24°, intensity 12; 2θ = 79.53°, intensity 12

Atomic structure:
Lattice parameters (Å, degrees): 5.9350 5.9350 5.9350 59.60 59.60 59.60
Fractional positions:
Mg 0.0000 0.0000 0.0000
Mn 0.0000 0.5000 0.5000
Mn 0.5000 0.0000 0.5000
Mn 0.5000 0.5000 0.0000
Ni 0.5000 0.5000 0.5000
O 0.2487 0.2487 0.7124
O 0.2487 0.7124 0.2487
O 0.2659 0.2659 0.2659
O 0.2876 0.7513 0.7513
O 0.7124 0.2487 0.2487
O 0.7341 0.7341 0.7341
O 0.7513 0.2876 0.7513
O 0.7513 0.7513 0.2876

***

12.
This entry pairs a crystal structure of MgMn4Ni2O8 with its computed powder diffraction line list. Radiation: Cu Kα (λ = 1.5418 Å). Structure: the PBE+U geometry in the Materials Project.
Intensities are scaled so that the largest is 100.

Peak list (10 most intense, 15° ≤ 2θ ≤ 90°, low angle first)
2θ = 17.03°, intensity 35; 2θ = 26.96°, intensity 33; 2θ = 32.54°, intensity 100; 2θ = 33.95°, intensity 52; 2θ = 34.62°, intensity 35; 2θ = 35.07°, intensity 36; 2θ = 36.22°, intensity 32; 2θ = 40.12°, intensity 32; 2θ = 45.72°, intensity 40; 2θ = 45.87°, intensity 35

Atomic structure:
Lattice parameters (Å, degrees): 6.1777 6.1777 6.1777 120.53 115.27 93.73
Fractional positions:
Mg 0.0000 0.0000 0.0000
Mn 0.0764 0.5764 0.5000
Mn 0.5231 0.2598 0.2633
Mn 0.6805 0.6805 0.0000
Mn 0.9965 0.2598 0.7367
Ni 0.4523 0.1738 0.7214
Ni 0.4523 0.7309 0.2786
O 0.2175 0.4362 0.2187
O 0.2175 0.9989 0.7813
O 0.2863 0.4851 0.8012
O 0.3295 0.0291 0.3004
O 0.6839 0.4851 0.1988
O 0.7287 0.0291 0.6996
O 0.8158 0.0822 0.2664
O 0.8158 0.5495 0.7336